Dy8Tc2Pt: theoretical powder diffractogram (a wavelength of 1.5418 Å), based on a DFT-relaxed cell (PBE, Alexandria).

Principal peaks in the range 15 to 90 degrees two-theta, in order of falling intensity:
- d = 2.758 Å, 2θ 32.46, rel. 100.0, (0 4 1)
- d = 2.530 Å, 2θ 35.48, rel. 84.4, (0 2 2)
- d = 2.313 Å, 2θ 38.94, rel. 83.2, (1 5 -1)
- d = 2.716 Å, 2θ 32.98, rel. 81.1, (3 1 -1)
- d = 2.789 Å, 2θ 32.09, rel. 68.8, (2 0 1)
- d = 2.885 Å, 2θ 31.00, rel. 62.6, (1 3 1)

Cell and atoms:
```
data_Dy8Tc2Pt
_space_group_name_H-M_alt 'C 1 m 1'
_space_group_IT_number 8
_space_group_name_Hall 'C -2y'
_cell_length_a 8.4214
_cell_length_b 12.7360
_cell_length_c 5.8828
_cell_angle_alpha 90.00
_cell_angle_beta 110.21
_cell_angle_gamma 90.00
loop_
_atom_site_label
_atom_site_fract_x
_atom_site_fract_y
_atom_site_fract_z
Dy1 0.0000 0.0000 0.0000
Dy2 0.0687 0.3696 0.7944
Dy3 0.1502 0.1323 0.5972
Dy4 0.2317 0.5000 0.3926
Dy5 0.3598 0.2132 0.1926
Tc1 0.3630 0.3092 0.7040
Pt1 0.3688 0.0000 0.0457
```



Zn2CrAu6: theoretical powder diffractogram (a wavelength of 1.5418 Å), based on a DFT-relaxed cell (PBE, Alexandria).

Principal peaks in the range 15 to 90 degrees two-theta, in order of falling intensity:
- d = 2.257 Å, 2θ 39.94, rel. 100.0, (4 2 1)
- d = 2.401 Å, 2θ 37.45, rel. 60.5, (0 4 0)
- d = 2.393 Å, 2θ 37.59, rel. 57.2, (1 1 -2)
- d = 2.362 Å, 2θ 38.11, rel. 56.8, (5 1 -1)
- d = 1.956 Å, 2θ 46.42, rel. 32.2, (1 3 -2)
- d = 1.939 Å, 2θ 46.86, rel. 30.8, (5 3 -1)

Cell and atoms:
```
data_Zn2CrAu6
_space_group_name_H-M_alt 'C 1 2/c 1'
_space_group_IT_number 15
_space_group_name_Hall '-C 2yc'
_cell_length_a 13.1216
_cell_length_b 9.6051
_cell_length_c 4.9493
_cell_angle_alpha 90.00
_cell_angle_beta 97.68
_cell_angle_gamma 90.00
loop_
_atom_site_label
_atom_site_fract_x
_atom_site_fract_y
_atom_site_fract_z
Zn1 0.1643 0.1281 0.0847
Cr1 0.0000 0.3760 0.2500
Au1 0.0591 0.1224 0.5192
Au2 0.1112 0.3740 0.7983
Au3 0.2231 0.3728 0.3375
```